[1]
The following is a simulated powder XRD pattern of CrN2. It was derived from a cell relaxed with GGA-PBE, using Cu Ka.
Lines closer than 0.1° are merged.

Top 10 peaks for 2θ = 5–70°, in order of rising 2θ:
Position (°2θ), I (rel.), (hkl)
6.3, 642, 0 0 2
6.7, 1000, 0 1 1
17.2, 215, 0 2 4
17.8, 360, 1 1 2
18.2, 262, 1 0 3
24.5, 302, 0 4 2
25.3, 209, 1 1 6
31.5, 108, 2 0 0
34.8, 103, 1 3 8
36.1, 110, 1 5 4

Atomic structure:
Lattice parameters (Å, degrees): 5.6888 15.0461 28.2000 90.00 90.00 90.00
Space group Imma (No. 74)
Symmetry-distinct sites (fractional):
Cr (0.0000, 0.0391, 0.0578)
Cr (0.0000, 0.0537, 0.6050)
Cr (0.0000, 0.1390, 0.7168)
Cr (0.0000, 0.2500, 0.0257)
Cr (0.0000, 0.2500, 0.5435)
N (0.0000, 0.0000, 0.0000)
N (0.0000, 0.0776, 0.6653)
N (0.0000, 0.1545, 0.0592)
N (0.0000, 0.1563, 0.5794)
N (0.0000, 0.2500, 0.7010)
N (0.2494, 0.2500, 0.9902)
N (0.2499, 0.0021, 0.0863)
N (0.2500, 0.1194, 0.7500)

=====

[2]
The following is a simulated powder XRD pattern of Cu2H3ClO3. It was derived from a cell relaxed with GGA-PBE, using Cu Ka.
Lines closer than 0.1° are merged.

Top 10 peaks for 2θ = 5–70°, in order of rising 2θ:
Position (°2θ), I (rel.), (hkl)
16.0, 1000, 0 1 1
17.5, 767, 1 0 1
31.2, 723, 1 2 1
31.9, 558, 0 1 3
32.1, 370, 2 1 0
32.3, 235, 0 2 2
35.4, 261, 2 0 2
39.2, 338, 0 0 4
39.4, 476, 2 2 0
56.8, 245, 2 2 4

Atomic structure:
Lattice parameters (Å, degrees): 6.0821 6.9531 9.1865 90.00 90.00 90.00
Space group Pnma (No. 62)
Symmetry-distinct sites (fractional):
Cu (0.0000, 0.0000, 0.0000)
Cu (0.1847, 0.2500, 0.2570)
H (0.0801, 0.0476, 0.7275)
H (0.2069, 0.7500, 0.4535)
Cl (0.1305, 0.2500, 0.5685)
O (0.0665, 0.5658, 0.7937)
O (0.1454, 0.2500, 0.9993)

=====

[3]
The following is a simulated powder XRD pattern of Ca2CeO4. It was derived from a cell relaxed with GGA-PBE, using Cu Ka.
Lines closer than 0.1° are merged.

Top 10 peaks for 2θ = 5–70°, in order of rising 2θ:
Position (°2θ), I (rel.), (hkl)
17.6, 480, 1 1 0
17.7, 138, 0 2 0
30.6, 118, 2 0 0
30.9, 1000, 1 3 0
31.0, 171, 0 2 1
44.1, 321, 2 2 1
54.5, 154, 3 3 0
54.8, 101, 2 4 1
54.9, 214, 0 6 0
61.4, 106, 1 3 2

Atomic structure:
Lattice parameters (Å, degrees): 5.8485 10.0270 3.5330 90.00 90.00 90.00
Space group Pbam (No. 55)
Symmetry-distinct sites (fractional):
Ca (0.0614, 0.1785, 0.0000)
Ce (0.0000, 0.5000, 0.5000)
O (0.1525, 0.7017, 0.5000)
O (0.2403, 0.4593, 0.0000)

=====

Copy entry 2 word for word.
The following is a simulated powder XRD pattern of Cu2H3ClO3. It was derived from a cell relaxed with GGA-PBE, using Cu Ka.
Lines closer than 0.1° are merged.

Top 10 peaks for 2θ = 5–70°, in order of rising 2θ:
Position (°2θ), I (rel.), (hkl)
16.0, 1000, 0 1 1
17.5, 767, 1 0 1
31.2, 723, 1 2 1
31.9, 558, 0 1 3
32.1, 370, 2 1 0
32.3, 235, 0 2 2
35.4, 261, 2 0 2
39.2, 338, 0 0 4
39.4, 476, 2 2 0
56.8, 245, 2 2 4

Atomic structure:
Lattice parameters (Å, degrees): 6.0821 6.9531 9.1865 90.00 90.00 90.00
Space group Pnma (No. 62)
Symmetry-distinct sites (fractional):
Cu (0.0000, 0.0000, 0.0000)
Cu (0.1847, 0.2500, 0.2570)
H (0.0801, 0.0476, 0.7275)
H (0.2069, 0.7500, 0.4535)
Cl (0.1305, 0.2500, 0.5685)
O (0.0665, 0.5658, 0.7937)
O (0.1454, 0.2500, 0.9993)